MnCdAu2O6: simulated powder X-ray diffraction pattern (Cu Kα (weighted mean of Kα1 and Kα2)), based on the GGA+U geometry in Alexandria.
Neutral-atom scattering factors, no anomalous dispersion.

Structure:
Unit cell a=7.085 b=7.085 c=7.038 alpha=105.04 beta=105.04 gamma=89.28
Positions (direct):
Mn  0.113  0.887  0.750
Mn  0.887  0.113  0.250
Cd  0.208  0.792  0.250
Cd  0.792  0.208  0.750
Au  0.360  0.365  0.429
Au  0.365  0.360  0.929
Au  0.635  0.640  0.071
Au  0.640  0.635  0.571
O  0.126  0.143  0.809
O  0.143  0.126  0.309
O  0.201  0.777  0.554
O  0.223  0.799  0.946
O  0.261  0.456  0.176
O  0.456  0.261  0.676
O  0.544  0.739  0.324
O  0.739  0.544  0.824
O  0.777  0.201  0.054
O  0.799  0.223  0.446
O  0.857  0.874  0.691
O  0.874  0.857  0.191

Principal peaks in the range 10 to 90 degrees two-theta, by angle:
12.96°, d 6.830, I 63; 17.82°, d 4.978, I 60; 26.87°, d 3.318, I 100; 28.53°, d 3.129, I 51; 29.93°, d 2.985, I 60; 32.46°, d 2.758, I 26; 32.72°, d 2.737, I 22; 37.24°, d 2.414, I 23; 38.18°, d 2.357, I 21; 42.59°, d 2.123, I 38